No. 1
The following is a simulated X-ray powder pattern of PuTe2PbO8. It was derived from a DFT-relaxed cell (PBE, Alexandria), using Cu Kα.
Lines closer than 0.1° are merged.

Largest 12 diffraction maxima, in order of rising 2θ, 2θ = 10–90°:
2θ = 14.19°, d = 6.240 Å, I = 27, hkl 2 0 0
2θ = 25.47°, d = 3.497 Å, I = 100, hkl 1 1 1
2θ = 26.21°, d = 3.400 Å, I = 16, hkl 3 1 0
2θ = 26.71°, d = 3.338 Å, I = 83, hkl 3 1 -1
2θ = 28.61°, d = 3.120 Å, I = 19, hkl 4 0 0
2θ = 30.28°, d = 2.952 Å, I = 37, hkl 0 2 0
2θ = 31.70°, d = 2.822 Å, I = 27, hkl 2 0 -2
2θ = 35.32°, d = 2.542 Å, I = 16, hkl 3 1 1
2θ = 42.14°, d = 2.144 Å, I = 22, hkl 4 2 0
2θ = 44.41°, d = 2.040 Å, I = 23, hkl 2 2 -2
2θ = 50.95°, d = 1.792 Å, I = 16, hkl 1 3 1
2θ = 52.13°, d = 1.755 Å, I = 16, hkl 1 1 -3

Crystal structure
a b c (Å): 13.363 5.903 5.659
angles (deg): 90.00 110.95 90.00
Space group C2/m (No. 12)
Unique sites:
Pu1 0.000 0.000 0.000
Te1 0.205 0.500 0.209
Pb1 0.000 0.500 0.500
O1 0.071 0.000 0.781
O2 0.107 0.272 0.244
O3 0.174 0.500 0.862

No. 2
The following is a simulated X-ray powder pattern of Tm2PuPbO8. It was derived from a DFT-relaxed cell (PBE, Alexandria), using Cu Kα.
Lines closer than 0.1° are merged.

Largest 12 diffraction maxima, in order of rising 2θ, 2θ = 10–90°:
2θ = 24.63°, d = 3.614 Å, I = 54, hkl 0 2 0
2θ = 25.64°, d = 3.475 Å, I = 49, hkl 2 0 0
2θ = 31.31°, d = 2.857 Å, I = 100, hkl 1 1 2
2θ = 35.85°, d = 2.505 Å, I = 33, hkl 2 2 0
2θ = 47.75°, d = 1.905 Å, I = 39, hkl 1 3 2
2θ = 48.89°, d = 1.863 Å, I = 36, hkl 3 1 2
2θ = 52.66°, d = 1.738 Å, I = 17, hkl 0 0 4
2θ = 58.96°, d = 1.566 Å, I = 19, hkl 0 2 4
2θ = 61.61°, d = 1.505 Å, I = 21, hkl 3 3 2
2θ = 65.33°, d = 1.428 Å, I = 12, hkl 2 2 4
2θ = 75.96°, d = 1.253 Å, I = 10, hkl 0 4 4
2θ = 85.30°, d = 1.138 Å, I = 11, hkl 5 3 2

Crystal structure
a b c (Å): 6.950 7.228 6.956
angles (deg): 90.00 90.00 90.00
Space group Cmmm (No. 65)
Unique sites:
Tm1 0.000 0.000 0.249
Pu1 0.000 0.500 0.500
Pb1 0.000 0.500 0.000
O1 0.000 0.311 0.271
O2 0.196 0.000 0.000
O3 0.206 0.000 0.500